No. 1
Simulated powder XRD pattern
Compound: CsAcAsO4
Radiation: λ = 1.5418 Å (Cu Kα)
Structure: a structure optimized by DFT (GGA-PBE)

a = 9.532 Å, b = 9.532 Å, c = 9.532 Å
α = 90.00°, β = 90.00°, γ = 90.00°
Space group F-43m (No. 216)
One atom of each set of equivalent atoms:
Cs: 0.000 0.000 0.000 (multiplicity 4)
Ac: 0.250 0.250 0.750 (multiplicity 4)
As: 0.000 0.000 0.500 (multiplicity 4)
O: 0.107 0.107 0.607 (multiplicity 16)

Largest 10 diffraction maxima, in order of rising 2θ, 2θ = 10–90°:
(hkl)  2theta  Rel. int.
1 1 1  16.1  65
2 2 0  26.4  100
3 1 1  31.1  31
4 0 0  37.8  14
3 3 1  41.3  22
4 2 2  46.7  42
4 4 0  54.5  16
5 3 1  57.2  14
6 2 0  61.5  18
6 4 2  74.5  22

=====

No. 2
Simulated powder XRD pattern
Compound: Cs2AcAsS4
Radiation: λ = 1.5418 Å (Cu Kα)
Structure: a structure optimized by DFT (GGA-PBE)

a = 7.117 Å, b = 15.181 Å, c = 26.620 Å
α = 90.00°, β = 90.00°, γ = 90.00°
Space group Fddd (No. 70, origin choice 2)
One atom of each set of equivalent atoms:
Cs: 0.125 0.125 0.313 (multiplicity 16)
Ac: 0.125 0.125 0.125 (multiplicity 8)
As: 0.125 0.125 0.625 (multiplicity 8)
S: 0.092 0.276 0.828 (multiplicity 32)

Largest 10 diffraction maxima, in order of rising 2θ, 2θ = 10–90°:
(hkl)  2theta  Rel. int.
0 0 4  13.3  100
1 1 1  14.1  49
1 1 5  21.7  47
1 3 1  21.8  42
0 2 6  23.2  97
0 4 0  23.4  43
1 3 5  27.4  78
2 2 0  27.7  76
2 0 6  32.2  62
2 4 6  40.2  44

=====

No. 3
Simulated powder XRD pattern
Compound: AcCu6As4
Radiation: λ = 1.5418 Å (Cu Kα)
Structure: a structure optimized by DFT (GGA-PBE)

a = 4.101 Å, b = 4.101 Å, c = 23.067 Å
α = 90.00°, β = 90.00°, γ = 90.00°
Space group I4/mmm (No. 139)
One atom of each set of equivalent atoms:
Ac: 0.000 0.000 0.000 (multiplicity 2)
Cu: 0.000 0.500 0.128 (multiplicity 8)
Cu: 0.000 0.500 0.250 (multiplicity 4)
As: 0.000 0.000 0.189 (multiplicity 4)
As: 0.000 0.000 0.432 (multiplicity 4)

Largest 10 diffraction maxima, in order of rising 2θ, 2θ = 10–90°:
(hkl)  2theta  Rel. int.
1 0 5  29.1  100
1 1 2  31.8  50
1 1 4  34.6  37
1 0 7  34.9  28
2 0 0  44.2  71
1 1 8  44.3  38
1 1 10  50.6  23
2 1 5  53.8  36
1 1 12  57.5  25
2 2 0  64.2  22

=====

No. 4
Simulated powder XRD pattern
Compound: AcCuAs
Radiation: λ = 1.5418 Å (Cu Kα)
Structure: a structure optimized by DFT (GGA-PBE)

a = 4.2785 Å, b = 4.2785 Å, c = 4.4744 Å
α = 90.00°, β = 90.00°, γ = 120.00°
Space group P-6m2 (No. 187)
One atom of each set of equivalent atoms:
Ac: 0.0000 0.0000 0.0000 (multiplicity 1)
Cu: 0.6667 0.3333 0.5000 (multiplicity 1)
As: 0.3333 0.6667 0.5000 (multiplicity 1)

Largest 10 diffraction maxima, in order of rising 2θ, 2θ = 10–90°:
(hkl)  2theta  Rel. int.
1 0 0  24.0  24
1 0 1  31.3  100
0 0 2  40.3  13
1 1 0  42.2  35
1 0 2  47.5  8
2 0 1  53.5  22
1 1 2  59.8  25
1 0 3  67.7  11
2 1 1  70.5  20
2 0 3  83.1  6

=====

No. 5
Simulated powder XRD pattern
Compound: AcCuAs
Radiation: λ = 1.5418 Å (Cu Kα)
Structure: a structure optimized by DFT (GGA-PBE)

a = 4.224 Å, b = 8.119 Å, c = 8.514 Å
α = 90.00°, β = 90.00°, γ = 90.00°
Space group Immm (No. 71)
One atom of each set of equivalent atoms:
Ac: 0.000 0.241 0.000 (multiplicity 4)
Cu: 0.000 0.000 0.352 (multiplicity 4)
As: 0.000 0.500 0.295 (multiplicity 4)

Largest 10 diffraction maxima, in order of rising 2θ, 2θ = 10–90°:
(hkl)  2theta  Rel. int.
0 0 2  20.9  16
1 0 1  23.5  34
0 2 2  30.4  68
1 2 1  32.3  100
1 0 3  38.2  47
2 0 0  42.8  20
0 4 0  44.6  17
2 2 2  53.4  29
1 4 3  60.2  24
1 2 5  63.2  16

=====

No. 6
Simulated powder XRD pattern
Compound: AcCuAsP
Radiation: λ = 1.5418 Å (Cu Kα)
Structure: a structure optimized by DFT (GGA-PBE)

a = 4.186 Å, b = 4.368 Å, c = 9.623 Å
α = 90.00°, β = 90.00°, γ = 90.00°
Space group Imm2 (No. 44)
One atom of each set of equivalent atoms:
Ac: 0.000 0.000 0.000 (multiplicity 2)
Cu: 0.000 0.500 0.240 (multiplicity 2)
As: 0.000 0.000 0.369 (multiplicity 2)
P: 0.000 0.000 0.619 (multiplicity 2)

Largest 10 diffraction maxima, in order of rising 2θ, 2θ = 10–90°:
(hkl)  2theta  Rel. int.
0 0 2  18.4  32
0 1 1  22.4  37
1 0 1  23.2  55
1 1 0  29.6  62
0 1 3  34.7  65
1 1 2  35.1  100
1 0 3  35.3  49
0 2 0  41.3  30
1 2 3  55.4  27
2 1 3  56.6  32

=====

No. 7
Simulated powder XRD pattern
Compound: AcDyTeAs
Radiation: λ = 1.5418 Å (Cu Kα)
Structure: a structure optimized by DFT (GGA-PBE)

a = 4.3172 Å, b = 4.3172 Å, c = 23.3034 Å
α = 90.00°, β = 90.00°, γ = 120.00°
Space group R3m (No. 160, hexagonal axes)
One atom of each set of equivalent atoms:
Ac: 0.0000 0.0000 0.0000 (multiplicity 3)
Dy: 0.0000 0.0000 0.1886 (multiplicity 3)
Te: 0.0000 0.0000 0.4341 (multiplicity 3)
As: 0.0000 0.0000 0.5876 (multiplicity 3)

Largest 10 diffraction maxima, in order of rising 2θ, 2θ = 10–90°:
(hkl)  2theta  Rel. int.
1 0 1  24.1  25
0 1 2  25.0  39
1 0 4  28.4  37
0 1 5  30.7  100
1 0 7  36.1  41
1 1 0  41.8  58
0 1 11  49.4  17
2 0 5  52.8  22
1 1 12  64.6  18
1 2 5  69.5  19

=====

No. 8
Simulated powder XRD pattern
Compound: AcDyY2As4
Radiation: λ = 1.5418 Å (Cu Kα)
Structure: a structure optimized by DFT (GGA-PBE)

a = 7.337 Å, b = 4.238 Å, c = 7.339 Å
α = 90.00°, β = 109.40°, γ = 90.00°
Space group P2/m (No. 10)
One atom of each set of equivalent atoms:
Ac: 0.000 0.000 0.000 (multiplicity 1)
Dy: 0.000 0.500 0.500 (multiplicity 1)
Y: 0.500 0.000 0.500 (multiplicity 1)
Y: 0.500 0.500 0.000 (multiplicity 1)
As: 0.257 0.000 0.742 (multiplicity 2)
As: 0.265 0.500 0.266 (multiplicity 2)

Largest 10 diffraction maxima, in order of rising 2θ, 2θ = 10–90°:
(hkl)  2theta  Rel. int.
1 0 0  12.8  9
0 1 1  24.6  10
0 0 2  25.7  16
1 1 1  29.8  100
0 2 0  42.7  75
1 1 3  50.5  8
2 2 -2  52.9  26
4 0 -4  61.9  12
1 3 1  70.2  33
3 3 -1  78.1  24